The following is a calculated PXRD pattern of Bi2Te2S. It was derived from DFT lattice parameters and positions (PBE), using copper Kα.
Kinematic intensities with the Lorentz-polarization factor, no thermal factor.

Largest 12 diffraction maxima, in order of rising 2θ, 2θ = 10–90°:
| 2θ (°) | I_rel | h k l |
| --- | --- | --- |
| 17.6 | 14 | 0 0 6 |
| 24.0 | 11 | 1 0 1 |
| 28.1 | 100 | 0 1 5 |
| 38.3 | 40 | 1 0 10 |
| 40.8 | 8 | 0 1 11 |
| 41.9 | 35 | 1 1 0 |
| 45.7 | 8 | 1 1 6 |
| 51.2 | 19 | 2 0 5 |
| 58.0 | 12 | 0 2 10 |
| 63.2 | 17 | 1 1 15 |
| 68.2 | 16 | 1 2 5 |
| 74.1 | 12 | 2 1 10 |

Structure:
a b c (Å): 4.3168 4.3168 30.1685
angles (deg): 90.00 90.00 120.00
Space group R3m (No. 160, hexagonal axes)
Symmetry-distinct sites (fractional):
Bi (0.0000, 0.0000, 0.0000) x3
Bi (0.0000, 0.0000, 0.1927) x3
Te (0.0000, 0.0000, 0.3921) x3
Te (0.0000, 0.0000, 0.5944) x3
S (0.0000, 0.0000, 0.8161) x3

The following is a calculated PXRD pattern of Nd3In. It was derived from DFT lattice parameters and positions (PBE), using copper Kα.
Kinematic intensities with the Lorentz-polarization factor, no thermal factor.

Largest 10 diffraction maxima, in order of rising 2θ, 2θ = 10–90°:
| 2θ (°) | I_rel | h k l |
| --- | --- | --- |
| 17.8 | 1 | 1 0 0 |
| 25.2 | 1 | 1 1 0 |
| 31.0 | 100 | 1 1 1 |
| 36.0 | 50 | 2 0 0 |
| 51.8 | 35 | 2 2 0 |
| 61.6 | 42 | 3 1 1 |
| 64.7 | 12 | 2 2 2 |
| 76.3 | 6 | 4 0 0 |
| 84.6 | 17 | 3 3 1 |
| 87.4 | 16 | 4 2 0 |

Structure:
a b c (Å): 4.9923 4.9923 4.9923
angles (deg): 90.00 90.00 90.00
Space group Pm-3m (No. 221)
Symmetry-distinct sites (fractional):
Nd (0.0000, 0.0000, 0.5000) x3
In (0.5000, 0.5000, 0.5000) x1